This entry pairs a crystal structure of Ba3TiP3 with its computed PXRD pattern. Radiation: Cu Kα (λ = 1.5418 Å). Structure: a structure optimized by DFT (PBE).

Cell lengths 10.307, 10.307, 13.082 Å; angles 90.00, 90.00, 39.20 degrees
Atoms (fractional coordinates):
Ba (0.004, 0.642, 0.134)
Ba (0.142, 0.504, 0.634)
Ba (0.152, 0.848, 0.840)
Ba (0.348, 0.652, 0.340)
Ba (0.358, 0.996, 0.134)
Ba (0.496, 0.858, 0.634)
Ba (0.504, 0.142, 0.366)
Ba (0.642, 0.004, 0.866)
Ba (0.652, 0.348, 0.660)
Ba (0.848, 0.152, 0.160)
Ba (0.858, 0.496, 0.366)
Ba (0.996, 0.358, 0.866)
Ti (0.083, 0.083, 0.500)
Ti (0.417, 0.417, 0.000)
Ti (0.583, 0.583, 0.000)
Ti (0.917, 0.917, 0.500)
P (0.031, 0.660, 0.384)
P (0.160, 0.531, 0.884)
P (0.205, 0.795, 0.591)
P (0.295, 0.705, 0.091)
P (0.340, 0.969, 0.384)
P (0.469, 0.840, 0.884)
P (0.531, 0.160, 0.116)
P (0.660, 0.031, 0.616)
P (0.705, 0.295, 0.909)
P (0.795, 0.205, 0.409)
P (0.840, 0.469, 0.116)
P (0.969, 0.340, 0.616)

Main lines, in order of rising 2θ (2θ from 10° to 80°):
| d/Å | 2θ/deg | Rel. int. |
| --- | --- | --- |
| 3.831 | 23.22 | 100 |
| 3.624 | 24.57 | 32 |
| 3.273 | 27.25 | 58 |
| 3.237 | 27.56 | 47 |
| 3.161 | 28.23 | 48 |
| 2.753 | 32.52 | 22 |
| 2.376 | 37.87 | 21 |
| 2.363 | 38.08 | 26 |
| 2.300 | 39.16 | 42 |
| 1.964 | 46.21 | 29 |